This entry pairs a crystal structure of Cu8As with its theoretical powder X-ray diffraction pattern. Radiation: copper Kα. Structure: the PBE geometry in OQMD.
Intensities are scaled so that the largest is 100.

Structural model:
a b c (Å): 4.327 4.327 25.256
angles (deg): 90.46 90.46 47.71
Atoms (fractional coordinates):
Cu1 0.048 0.048 0.217
Cu2 0.049 0.049 0.884
Cu3 0.150 0.150 0.983
Cu4 0.250 0.250 0.084
Cu5 0.255 0.255 0.745
Cu6 0.349 0.349 0.183
Cu7 0.350 0.350 0.850
Cu8 0.449 0.449 0.950
Cu9 0.551 0.551 0.050
Cu10 0.650 0.650 0.150
Cu11 0.651 0.651 0.817
Cu12 0.745 0.745 0.255
Cu13 0.750 0.750 0.916
Cu14 0.850 0.850 0.017
Cu15 0.951 0.951 0.116
Cu16 0.952 0.952 0.783
As1 0.447 0.447 0.282
As2 0.553 0.553 0.718

Top 10 peaks for 10 to 90 degrees two-theta, low angle first:
2θ (°), I/Imax
40.19, 32
42.94, 100
43.51, 26
44.25, 90
45.29, 18
45.85, 18
48.84, 34
51.19, 29
52.28, 32
74.34, 17

***

This entry pairs a crystal structure of FeH4C6N4 with its theoretical powder X-ray diffraction pattern. Radiation: copper Kα. Structure: the PBE geometry in OQMD.
Intensities are scaled so that the largest is 100.

Structural model:
a b c (Å): 9.078 9.078 6.953
angles (deg): 90.00 90.00 90.00
Atoms (fractional coordinates):
Fe1 0.000 0.000 0.250
Fe2 0.000 0.000 0.750
H1 0.000 0.352 0.189
H2 0.000 0.352 0.811
H3 0.000 0.648 0.189
H4 0.000 0.648 0.811
H5 0.352 0.000 0.311
H6 0.352 0.000 0.689
H7 0.648 0.000 0.311
H8 0.648 0.000 0.689
C1 0.000 0.326 0.341
C2 0.000 0.326 0.659
C3 0.000 0.421 0.500
C4 0.000 0.579 0.500
C5 0.000 0.674 0.341
C6 0.000 0.674 0.659
C7 0.326 0.000 0.159
C8 0.326 0.000 0.841
C9 0.421 0.000 0.000
C10 0.579 0.000 0.000
C11 0.674 0.000 0.159
C12 0.674 0.000 0.841
N1 0.000 0.185 0.402
N2 0.000 0.185 0.598
N3 0.000 0.815 0.402
N4 0.000 0.815 0.598
N5 0.185 0.000 0.098
N6 0.185 0.000 0.902
N7 0.815 0.000 0.098
N8 0.815 0.000 0.902

Top 10 peaks for 10 to 90 degrees two-theta, low angle first:
2θ (°), I/Imax
13.80, 22
16.06, 100
19.56, 98
23.41, 52
27.47, 21
29.21, 25
29.52, 50
33.95, 27
40.76, 33
44.43, 22

***

This entry pairs a crystal structure of Nd2SiSb2 with its theoretical powder X-ray diffraction pattern. Radiation: copper Kα. Structure: the PBE geometry in OQMD.
Intensities are scaled so that the largest is 100.

Structural model:
a b c (Å): 4.405 4.405 18.158
angles (deg): 90.00 90.00 120.00
Atoms (fractional coordinates):
Nd1 0.333 0.667 0.155
Nd2 0.333 0.667 0.345
Nd3 0.667 0.333 0.655
Nd4 0.667 0.333 0.845
Si1 0.000 0.000 0.250
Si2 0.000 0.000 0.750
Sb1 0.333 0.667 0.542
Sb2 0.333 0.667 0.958
Sb3 0.667 0.333 0.042
Sb4 0.667 0.333 0.458

Top 10 peaks for 10 to 90 degrees two-theta, low angle first:
2θ (°), I/Imax
23.32, 36
23.84, 29
34.09, 100
37.95, 9
40.98, 46
50.23, 9
51.31, 8
54.33, 26
66.76, 20
70.24, 24

***

This entry pairs a crystal structure of Mg2Ag with its theoretical powder X-ray diffraction pattern. Radiation: copper Kα. Structure: the PBE geometry in OQMD.
Intensities are scaled so that the largest is 100.

Structural model:
a b c (Å): 5.297 5.297 4.758
angles (deg): 90.00 90.00 120.00
Atoms (fractional coordinates):
Mg1 0.000 0.000 0.000
Mg2 0.000 0.344 0.500
Mg3 0.344 0.000 0.500
Mg4 0.656 0.656 0.500
Ag1 0.333 0.667 0.000
Ag2 0.667 0.333 0.000

Top 10 peaks for 10 to 90 degrees two-theta, low angle first:
2θ (°), I/Imax
18.65, 37
19.35, 27
27.00, 21
33.85, 42
37.82, 22
38.92, 100
51.65, 24
60.56, 16
69.03, 17
73.65, 17

***

This entry pairs a crystal structure of LiAuO with its theoretical powder X-ray diffraction pattern. Radiation: copper Kα. Structure: the PBE geometry in OQMD.
Intensities are scaled so that the largest is 100.

Structural model:
a b c (Å): 6.434 6.223 5.664
angles (deg): 65.35 61.52 53.13
Atoms (fractional coordinates):
Li1 0.004 0.004 0.746
Li2 0.254 0.254 0.996
Li3 0.746 0.746 0.004
Li4 0.996 0.996 0.254
Au1 0.000 0.500 0.500
Au2 0.500 0.000 0.500
Au3 0.500 0.500 0.000
Au4 0.500 0.500 0.500
O1 0.073 0.677 0.677
O2 0.323 0.927 0.927
O3 0.677 0.073 0.073
O4 0.927 0.323 0.323

Top 10 peaks for 10 to 90 degrees two-theta, low angle first:
2θ (°), I/Imax
18.14, 98
31.64, 31
35.56, 25
36.74, 100
37.95, 16
44.39, 12
46.40, 13
58.10, 12
66.08, 15
75.28, 11

***

This entry pairs a crystal structure of Gd3AlNi8 with its theoretical powder X-ray diffraction pattern. Radiation: copper Kα. Structure: the PBE geometry in OQMD.
Intensities are scaled so that the largest is 100.

Structural model:
a b c (Å): 5.069 5.069 16.093
angles (deg): 90.00 90.00 120.00
Atoms (fractional coordinates):
Gd1 0.333 0.667 0.045
Gd2 0.333 0.667 0.250
Gd3 0.333 0.667 0.455
Gd4 0.667 0.333 0.545
Gd5 0.667 0.333 0.750
Gd6 0.667 0.333 0.955
Al1 0.000 0.000 0.000
Al2 0.000 0.000 0.500
Ni1 0.000 0.000 0.250
Ni2 0.000 0.000 0.750
Ni3 0.169 0.337 0.626
Ni4 0.169 0.337 0.874
Ni5 0.169 0.831 0.626
Ni6 0.169 0.831 0.874
Ni7 0.333 0.667 0.750
Ni8 0.337 0.169 0.126
Ni9 0.337 0.169 0.374
Ni10 0.663 0.831 0.626
Ni11 0.663 0.831 0.874
Ni12 0.667 0.333 0.250
Ni13 0.831 0.169 0.126
Ni14 0.831 0.169 0.374
Ni15 0.831 0.663 0.126
Ni16 0.831 0.663 0.374

Top 10 peaks for 10 to 90 degrees two-theta, low angle first:
2θ (°), I/Imax
34.56, 97
35.42, 60
41.13, 22
41.53, 49
42.14, 100
44.61, 33
63.04, 33
68.20, 23
69.15, 21
74.95, 27

***

This entry pairs a crystal structure of MgAlFe2 with its theoretical powder X-ray diffraction pattern. Radiation: copper Kα. Structure: the PBE geometry in OQMD.
Intensities are scaled so that the largest is 100.

Structural model:
a b c (Å): 5.979 5.979 5.979
angles (deg): 90.00 90.00 90.00
Atoms (fractional coordinates):
Mg1 0.000 0.000 0.000
Mg2 0.000 0.500 0.500
Mg3 0.500 0.000 0.500
Mg4 0.500 0.500 0.000
Al1 0.250 0.250 0.750
Al2 0.250 0.750 0.250
Al3 0.750 0.250 0.250
Al4 0.750 0.750 0.750
Fe1 0.000 0.000 0.500
Fe2 0.000 0.500 0.000
Fe3 0.250 0.250 0.250
Fe4 0.250 0.750 0.750
Fe5 0.500 0.000 0.000
Fe6 0.500 0.500 0.500
Fe7 0.750 0.250 0.750
Fe8 0.750 0.750 0.250

Top 7 peaks for 10 to 90 degrees two-theta, low angle first:
2θ (°), I/Imax
25.81, 20
42.78, 100
50.64, 8
62.10, 15
68.39, 3
78.35, 29
84.13, 2

***

This entry pairs a crystal structure of HgPdNO with its theoretical powder X-ray diffraction pattern. Radiation: copper Kα. Structure: the PBE geometry in OQMD.
Intensities are scaled so that the largest is 100.

Structural model:
a b c (Å): 3.460 4.863 6.760
angles (deg): 90.00 90.00 90.00
Atoms (fractional coordinates):
Hg1 0.000 0.059 0.000
Hg2 0.000 0.941 0.500
Pd1 0.500 0.484 0.664
Pd2 0.500 0.516 0.164
N1 0.000 0.279 0.723
N2 0.000 0.721 0.223
O1 0.500 0.282 0.403
O2 0.500 0.718 0.903

Top 10 peaks for 10 to 90 degrees two-theta, low angle first:
2θ (°), I/Imax
26.37, 25
31.74, 100
32.25, 72
36.97, 20
37.19, 45
41.72, 31
52.93, 15
53.44, 30
61.02, 15
63.36, 27